# RbV3Cd4O12
Theoretical powder diffractogram, Cu Kα (weighted mean of Kα1 and Kα2). Input: a structure optimized by DFT (GGA+U).
No peak broadening, texture or thermal motion is included.

Most intense lines, 2θ from 10° to 90°, by intensity:
2θ = 29.9°, I = 100; 2θ = 29.7°, I = 61; 2θ = 31.8°, I = 57; 2θ = 27.7°, I = 42; 2θ = 32.0°, I = 32; 2θ = 47.1°, I = 32; 2θ = 30.7°, I = 25; 2θ = 29.3°, I = 22; 2θ = 23.1°, I = 19; 2θ = 27.3°, I = 19; 2θ = 19.1°, I = 18; 2θ = 52.8°, I = 18

Crystal structure
abc: 9.575 9.575 7.214
angles: 107.21 107.21 91.95
Element x y z (fractional)
Rb 0.028 0.972 0.500
Rb 0.972 0.028 0.000
V 0.123 0.350 0.890
V 0.297 0.702 0.499
V 0.350 0.123 0.390
V 0.649 0.868 0.111
V 0.702 0.297 0.999
V 0.868 0.649 0.611
Cd 0.064 0.381 0.400
Cd 0.260 0.735 0.992
Cd 0.381 0.064 0.900
Cd 0.510 0.527 0.206
Cd 0.527 0.510 0.706
Cd 0.615 0.938 0.604
Cd 0.735 0.260 0.492
Cd 0.938 0.615 0.104
O 0.001 0.671 0.849
O 0.033 0.393 0.072
O 0.177 0.728 0.281
O 0.180 0.181 0.880
O 0.181 0.180 0.380
O 0.270 0.819 0.719
O 0.276 0.487 0.963
O 0.285 0.525 0.522
O 0.329 0.990 0.150
O 0.393 0.033 0.572
O 0.476 0.712 0.476
O 0.487 0.276 0.463
O 0.519 0.704 0.040
O 0.525 0.285 0.022
O 0.599 0.955 0.927
O 0.671 0.001 0.349
O 0.704 0.519 0.540
O 0.712 0.476 0.976
O 0.728 0.177 0.781
O 0.817 0.820 0.618
O 0.819 0.270 0.219
O 0.820 0.817 0.118
O 0.955 0.599 0.427
O 0.990 0.329 0.650